Structure and theoretical X-ray powder pattern of KNaLaTaO5 (a cell relaxed with GGA-PBE; CuKα).
Intensities are scaled so that the largest is 100.

Largest 10 diffraction maxima, in order of falling intensity, 5° ≤ 2θ ≤ 70°:
2θ (°)  d_spacing  I (rel.)
30.40  2.940  100
18.51  4.793  68
30.57  2.925  41
54.23  1.691  39
43.78  2.068  28
10.58  8.360  27
53.92  1.700  24
35.97  2.496  21
24.01  3.707  16
63.26  1.470  13

```
18
Lattice="5.849 0.000 0.000 0.000 5.849 0.000 0.000 0.000 8.360" Properties=species:S:1:pos:R:3 pbc="T T T"
K 1.462 4.387 0.000
K 4.387 1.462 0.000
Na 1.462 1.462 2.015
Na 4.387 4.387 6.345
La 1.462 4.387 4.180
La 4.387 1.462 4.180
Ta 1.462 1.462 6.237
Ta 4.387 4.387 2.123
O 0.126 0.126 5.646
O 0.126 2.798 5.646
O 1.462 1.462 8.093
O 2.798 0.126 5.646
O 2.798 2.798 5.646
O 3.051 3.051 2.715
O 3.051 5.723 2.715
O 4.387 4.387 0.267
O 5.723 3.051 2.715
O 5.723 5.723 2.715
```

---

Structure and theoretical X-ray powder pattern of KCd4Ga5S12 (a cell relaxed with GGA-PBE; CuKα).
Intensities are scaled so that the largest is 100.

Largest 10 diffraction maxima, in order of falling intensity, 5° ≤ 2θ ≤ 70°:
2θ (°)  d_spacing  I (rel.)
28.13  3.172  100
27.76  3.213  50
28.35  3.148  49
12.00  7.377  33
46.47  1.954  21
46.27  1.962  21
45.95  1.975  21
47.02  1.932  20
46.59  1.950  20
56.44  1.630  20

```
22
Lattice="8.600 0.000 0.000 -2.727 8.221 0.000 -2.497 -3.832 7.667" Properties=species:S:1:pos:R:3 pbc="T T T"
K 0.000 0.000 0.000
Cd -0.004 2.529 5.461
Cd 0.972 -0.807 7.148
Cd 2.490 4.286 3.052
Cd 3.496 0.867 4.842
Ga -1.662 -0.604 4.209
Ga 0.065 4.466 0.173
Ga -0.913 5.850 3.568
Ga 4.330 -0.539 1.432
Ga 5.978 2.597 2.523
S -1.761 4.673 1.703
S -0.837 1.353 3.338
S 0.030 -1.971 5.012
S -1.884 2.803 7.270
S 1.502 2.997 1.093
S 2.475 -0.289 2.773
S 0.715 4.877 4.794
S 1.915 1.465 6.675
S 5.235 1.456 0.645
S 3.432 6.574 2.287
S 4.476 3.108 4.121
S 5.401 -0.514 5.945
```

---

Structure and theoretical X-ray powder pattern of Ti2InN (a cell relaxed with GGA-PBE; CuKα).
Intensities are scaled so that the largest is 100.

Largest 10 diffraction maxima, in order of falling intensity, 5° ≤ 2θ ≤ 70°:
2θ (°)  d_spacing  I (rel.)
38.61  2.332  100
33.24  2.695  19
59.40  1.556  19
38.71  2.326  19
33.88  2.646  17
51.93  1.761  16
70.00  1.344  15
12.69  6.978  14
25.53  3.489  14
35.71  2.514  8

```
8
Lattice="3.112 0.000 0.000 -1.556 2.695 0.000 0.000 0.000 13.957" Properties=species:S:1:pos:R:3 pbc="T T T"
Ti 0.000 1.797 1.084
Ti 0.000 1.797 5.894
Ti 1.556 0.898 8.062
Ti 1.556 0.898 12.873
In 0.000 1.797 10.467
In 1.556 0.898 3.489
N 0.000 0.000 0.000
N 0.000 0.000 6.978
```

---

Structure and theoretical X-ray powder pattern of NaInTe2 (a cell relaxed with GGA-PBE; CuKα).
Intensities are scaled so that the largest is 100.

Largest 10 diffraction maxima, in order of falling intensity, 5° ≤ 2θ ≤ 70°:
2θ (°)  d_spacing  I (rel.)
32.51  2.754  100
26.65  3.345  97
14.88  5.955  60
30.01  2.977  42
46.16  1.967  40
42.04  2.149  35
44.40  2.040  24
45.71  1.985  20
50.08  1.821  19
59.12  1.563  19

```
8
Lattice="-4.211 4.211 3.641 4.211 -4.211 3.641 4.211 4.211 -3.641" Properties=species:S:1:pos:R:3 pbc="T T T"
Na 0.000 0.000 1.820
Na 0.000 0.000 5.461
In 4.211 0.000 1.820
In 0.000 4.211 1.820
Te 5.765 1.554 0.000
Te 1.554 2.657 0.000
Te 2.657 1.554 3.641
Te -1.554 2.657 3.641
```

---

Structure and theoretical X-ray powder pattern of Li2GdIn (a cell relaxed with GGA-PBE; CuKα).
Intensities are scaled so that the largest is 100.

Largest 9 diffraction maxima, in order of falling intensity, 5° ≤ 2θ ≤ 70°:
2θ (°)  d_spacing  I (rel.)
25.87  3.444  100
36.91  2.435  92
60.08  1.540  38
66.51  1.406  32
45.63  1.988  29
53.20  1.722  16
22.36  3.976  4
43.58  2.077  2
58.41  1.580  1

```
4
Lattice="0.000 3.444 3.444 3.444 0.000 3.444 3.444 3.444 0.000" Properties=species:S:1:pos:R:3 pbc="T T T"
Li 1.722 1.722 1.722
Li 5.166 5.166 5.166
Gd 0.000 0.000 0.000
In 3.444 3.444 3.444
```

---

Structure and theoretical X-ray powder pattern of Sm2MgIr (a cell relaxed with GGA-PBE; CuKα).
Intensities are scaled so that the largest is 100.

Largest 10 diffraction maxima, in order of falling intensity, 5° ≤ 2θ ≤ 70°:
2θ (°)  d_spacing  I (rel.)
35.03  2.562  100
62.83  1.479  37
21.24  4.183  23
50.38  1.811  18
41.33  2.185  13
55.26  1.662  6
67.13  1.394  4
24.57  3.623  3
56.83  1.620  1
43.25  2.092  1

```
4
Lattice="0.000 3.623 3.623 3.623 0.000 3.623 3.623 3.623 0.000" Properties=species:S:1:pos:R:3 pbc="T T T"
Sm 1.811 1.811 1.811
Sm 5.434 5.434 5.434
Mg 0.000 0.000 0.000
Ir 3.623 3.623 3.623
```